Entry 1:
# KSn6Au4
Computed powder X-ray diffraction pattern, a wavelength of 1.5418 Å. Input: a GGA-PBE-relaxed structure.
Lines closer than 0.1° are merged.

```
data_KSn6Au4
_chemical_formula_sum 'K8 Sn48 Au32'
_space_group_name_H-M_alt 'F d d d'
_space_group_IT_number 70
_cell_length_a 8.938
_cell_length_b 10.273
_cell_length_c 24.714
_cell_angle_alpha 90.00
_cell_angle_beta 90.00
_cell_angle_gamma 90.00
loop_
_space_group_symop_operation_xyz
'x,y,z'
'-x,-y,-z'
'-x+1/4,-y+1/4,z'
'x+1/4,y+1/4,-z'
'x,-y+1/4,-z+1/4'
'-x,y+1/4,z+1/4'
'-x+1/4,y,-z+1/4'
'x+1/4,-y,z+1/4'
'x,y+1/2,z+1/2'
'-x,-y+1/2,-z+1/2'
'-x+1/4,-y+3/4,z+1/2'
'x+1/4,y+3/4,-z+1/2'
'x,-y+3/4,-z+3/4'
'-x,y+3/4,z+3/4'
'-x+1/4,y+1/2,-z+3/4'
'x+1/4,-y+1/2,z+3/4'
'x+1/2,y,z+1/2'
'-x+1/2,-y,-z+1/2'
'-x+3/4,-y+1/4,z+1/2'
'x+3/4,y+1/4,-z+1/2'
'x+1/2,-y+1/4,-z+3/4'
'-x+1/2,y+1/4,z+3/4'
'-x+3/4,y,-z+3/4'
'x+3/4,-y,z+3/4'
'x+1/2,y+1/2,z'
'-x+1/2,-y+1/2,-z'
'-x+3/4,-y+3/4,z'
'x+3/4,y+3/4,-z'
'x+1/2,-y+3/4,-z+1/4'
'-x+1/2,y+3/4,z+1/4'
'-x+3/4,y+1/2,-z+1/4'
'x+3/4,-y+1/2,z+1/4'
loop_
_atom_site_label
_atom_site_type_symbol
_atom_site_fract_x
_atom_site_fract_y
_atom_site_fract_z
_atom_site_occupancy
K1 K 0.125 0.125 0.125 1
Sn1 Sn 0.125 0.271 0.625 1
Sn2 Sn 0.125 0.373 0.259 1
Au1 Au 0.125 0.125 0.318 1
Au2 Au 0.125 0.125 0.437 1
```

Principal peaks in the range 5 to 70 degrees two-theta, in order of falling intensity:
- d = 2.278 Å, I 100.0, hkl 2 2 8
- d = 3.029 Å, I 63.8, hkl 2 0 6
- d = 4.743 Å, I 60.5, hkl 0 2 2
- d = 2.235 Å, I 39.4, hkl 4 0 0
- d = 2.191 Å, I 37.8, hkl 2 4 2
- d = 2.960 Å, I 33.6, hkl 2 2 4
- d = 2.568 Å, I 27.9, hkl 0 4 0
- d = 2.227 Å, I 24.3, hkl 0 2 10


Entry 2:
# K23Sn9Au12
Computed powder X-ray diffraction pattern, a wavelength of 1.5418 Å. Input: a GGA-PBE-relaxed structure.
Lines closer than 0.1° are merged.

```
data_K23Sn9Au12
_chemical_formula_sum 'K46 Sn18 Au24'
_space_group_name_H-M_alt 'I -4 2 m'
_space_group_IT_number 121
_space_group_name_Hall 'I -4 2'
_cell_length_a 21.079
_cell_length_b 21.079
_cell_length_c 6.988
_cell_angle_alpha 90.00
_cell_angle_beta 90.00
_cell_angle_gamma 90.00
loop_
_atom_site_label
_atom_site_type_symbol
_atom_site_fract_x
_atom_site_fract_y
_atom_site_fract_z
_atom_site_occupancy
K1 K 0.000 0.000 0.000 1
K2 K 0.000 0.500 0.250 1
K3 K 0.041 0.174 0.258 1
K4 K 0.099 0.340 0.039 1
K5 K 0.217 0.217 0.362 1
Sn1 Sn 0.000 0.000 0.500 1
Sn2 Sn 0.000 0.333 0.500 1
Sn3 Sn 0.165 0.165 0.854 1
Au1 Au 0.083 0.083 0.682 1
Au2 Au 0.092 0.253 0.650 1
```

Principal peaks in the range 5 to 70 degrees two-theta, in order of falling intensity:
- d = 5.614 Å, I 100.0, hkl 2 1 1
- d = 2.979 Å, I 54.9, hkl 5 4 1
- d = 14.905 Å, I 52.4, hkl 1 1 0
- d = 3.099 Å, I 46.8, hkl 3 1 2
- d = 2.863 Å, I 38.3, hkl 3 3 2
- d = 2.484 Å, I 34.1, hkl 6 6 0
- d = 6.633 Å, I 33.2, hkl 1 0 1
- d = 2.671 Å, I 27.8, hkl 5 1 2


Entry 3:
# K4Sn2Au7
Computed powder X-ray diffraction pattern, a wavelength of 1.5418 Å. Input: a GGA-PBE-relaxed structure.
Lines closer than 0.1° are merged.

```
data_K4Sn2Au7
_chemical_formula_sum 'K12 Sn6 Au21'
_space_group_name_H-M_alt 'R -3 m'
_space_group_IT_number 166
_space_group_name_Hall '-R 3 2"'
_cell_length_a 6.9042
_cell_length_b 6.9042
_cell_length_c 29.3382
_cell_angle_alpha 90.00
_cell_angle_beta 90.00
_cell_angle_gamma 120.00
loop_
_atom_site_label
_atom_site_type_symbol
_atom_site_fract_x
_atom_site_fract_y
_atom_site_fract_z
_atom_site_occupancy
K1 K 0.0000 0.0000 0.1827 1
K2 K 0.0000 0.0000 0.3136 1
Sn1 Sn 0.0000 0.0000 0.0495 1
Au1 Au 0.0000 0.0000 0.5000 1
Au2 Au 0.0618 0.5309 0.2441 1
```

Principal peaks in the range 5 to 70 degrees two-theta, in order of falling intensity:
- d = 5.537 Å, I 100.0, hkl 0 1 2
- d = 2.768 Å, I 61.1, hkl 0 2 4
- d = 4.890 Å, I 40.2, hkl 0 0 6
- d = 2.110 Å, I 32.5, hkl 1 0 13
- d = 1.990 Å, I 27.5, hkl 2 0 11
- d = 2.929 Å, I 23.3, hkl 2 0 2
- d = 3.126 Å, I 21.3, hkl 0 1 8
- d = 1.953 Å, I 21.2, hkl 0 0 15


Entry 4:
# K2SnAu2
Computed powder X-ray diffraction pattern, a wavelength of 1.5418 Å. Input: a GGA-PBE-relaxed structure.
Lines closer than 0.1° are merged.

```
data_K2SnAu2
_chemical_formula_sum 'K8 Sn4 Au8'
_space_group_name_H-M_alt 'C 1 2/c 1'
_space_group_IT_number 15
_cell_length_a 11.171
_cell_length_b 6.784
_cell_length_c 8.288
_cell_angle_alpha 90.00
_cell_angle_beta 100.61
_cell_angle_gamma 90.00
loop_
_space_group_symop_operation_xyz
'x,y,z'
'-x,-y,-z'
'-x,y,-z+1/2'
'x,-y,z+1/2'
'x+1/2,y+1/2,z'
'-x+1/2,-y+1/2,-z'
'-x+1/2,y+1/2,-z+1/2'
'x+1/2,-y+1/2,z+1/2'
loop_
_atom_site_label
_atom_site_type_symbol
_atom_site_fract_x
_atom_site_fract_y
_atom_site_fract_z
_atom_site_occupancy
K1 K 0.148 0.124 0.139 1
Sn1 Sn 0.000 0.412 0.750 1
Au1 Au 0.137 0.353 0.498 1
```

Principal peaks in the range 5 to 70 degrees two-theta, in order of falling intensity:
- d = 5.771 Å, I 100.0, hkl 1 1 0
- d = 2.641 Å, I 83.5, hkl 2 2 1
- d = 4.508 Å, I 68.6, hkl 1 1 1
- d = 2.750 Å, I 58.0, hkl 3 1 -2
- d = 4.940 Å, I 43.6, hkl 1 1 -1
- d = 2.807 Å, I 41.0, hkl 2 2 -1
- d = 2.554 Å, I 38.3, hkl 1 1 -3
- d = 2.500 Å, I 37.0, hkl 4 0 -2


Entry 5:
# KTbTe4Au3
Computed powder X-ray diffraction pattern, a wavelength of 1.5418 Å. Input: a GGA-PBE-relaxed structure.
Lines closer than 0.1° are merged.

```
data_KTbTe4Au3
_chemical_formula_sum 'K1 Tb1 Te4 Au3'
_space_group_name_H-M_alt 'P -4 3 m'
_space_group_IT_number 215
_space_group_name_Hall 'P -4 2 3'
_cell_length_a 6.903
_cell_length_b 6.903
_cell_length_c 6.903
_cell_angle_alpha 90.00
_cell_angle_beta 90.00
_cell_angle_gamma 90.00
loop_
_atom_site_label
_atom_site_type_symbol
_atom_site_fract_x
_atom_site_fract_y
_atom_site_fract_z
_atom_site_occupancy
K1 K 0.000 0.000 0.000 1
Tb1 Tb 0.500 0.500 0.500 1
Te1 Te 0.263 0.263 0.263 1
Au1 Au 0.000 0.500 0.500 1
```

Principal peaks in the range 5 to 70 degrees two-theta, in order of falling intensity:
- d = 2.440 Å, I 100.0, hkl 2 2 0
- d = 3.985 Å, I 69.1, hkl 1 1 1
- d = 6.903 Å, I 46.8, hkl 1 0 0
- d = 2.081 Å, I 35.3, hkl 3 1 1
- d = 1.409 Å, I 34.4, hkl 4 2 2
- d = 3.087 Å, I 17.5, hkl 2 1 0
- d = 1.726 Å, I 17.2, hkl 4 0 0
- d = 1.584 Å, I 14.4, hkl 3 3 1


Entry 6:
# KZrTe4Au3
Computed powder X-ray diffraction pattern, a wavelength of 1.5418 Å. Input: a GGA-PBE-relaxed structure.
Lines closer than 0.1° are merged.

```
data_KZrTe4Au3
_chemical_formula_sum 'K2 Zr2 Te8 Au6'
_space_group_name_H-M_alt 'P 1 21/m 1'
_space_group_IT_number 11
_cell_length_a 6.669
_cell_length_b 8.413
_cell_length_c 10.756
_cell_angle_alpha 90.00
_cell_angle_beta 105.65
_cell_angle_gamma 90.00
loop_
_space_group_symop_operation_xyz
'x,y,z'
'-x,-y,-z'
'-x,y+1/2,-z'
'x,-y+1/2,z'
loop_
_atom_site_label
_atom_site_type_symbol
_atom_site_fract_x
_atom_site_fract_y
_atom_site_fract_z
_atom_site_occupancy
K1 K 0.199 0.250 0.403 1
Zr1 Zr 0.346 0.750 0.205 1
Te1 Te 0.028 0.750 0.967 1
Te2 Te 0.193 0.750 0.418 1
Te3 Te 0.392 0.517 0.757 1
Au1 Au 0.150 0.250 0.797 1
Au2 Au 0.295 0.030 0.013 1
```

Principal peaks in the range 5 to 70 degrees two-theta, in order of falling intensity:
- d = 10.357 Å, I 100.0, hkl 0 0 1
- d = 2.302 Å, I 28.4, hkl 2 2 -3
- d = 2.363 Å, I 26.1, hkl 2 2 1
- d = 3.519 Å, I 24.3, hkl 1 2 0
- d = 6.530 Å, I 23.6, hkl 0 1 1
- d = 2.116 Å, I 12.6, hkl 2 2 2
- d = 2.103 Å, I 12.5, hkl 0 4 0
- d = 3.134 Å, I 12.4, hkl 2 0 -2


Entry 7:
# K3Zn4Au4
Computed powder X-ray diffraction pattern, a wavelength of 1.5418 Å. Input: a GGA-PBE-relaxed structure.
Lines closer than 0.1° are merged.

```
data_K3Zn4Au4
_chemical_formula_sum 'K6 Zn8 Au8'
_space_group_name_H-M_alt 'I -4 3 m'
_space_group_IT_number 217
_space_group_name_Hall 'I -4 2 3'
_cell_length_a 8.162
_cell_length_b 8.162
_cell_length_c 8.162
_cell_angle_alpha 90.00
_cell_angle_beta 90.00
_cell_angle_gamma 90.00
loop_
_atom_site_label
_atom_site_type_symbol
_atom_site_fract_x
_atom_site_fract_y
_atom_site_fract_z
_atom_site_occupancy
K1 K 0.000 0.000 0.500 1
Zn1 Zn 0.121 0.121 0.121 1
Au1 Au 0.197 0.197 0.803 1
```

Principal peaks in the range 5 to 70 degrees two-theta, in order of falling intensity:
- d = 1.924 Å, I 100.0, hkl 4 1 1
- d = 2.886 Å, I 81.9, hkl 2 2 0
- d = 2.181 Å, I 70.1, hkl 3 2 1
- d = 3.332 Å, I 62.9, hkl 2 1 1
- d = 4.081 Å, I 58.0, hkl 2 0 0
- d = 2.581 Å, I 49.7, hkl 3 1 0
- d = 5.771 Å, I 43.2, hkl 1 1 0
- d = 1.601 Å, I 22.5, hkl 4 3 1


Entry 8:
# LaAu6
Computed powder X-ray diffraction pattern, a wavelength of 1.5418 Å. Input: a GGA-PBE-relaxed structure.
Lines closer than 0.1° are merged.

```
data_LaAu6
_chemical_formula_sum 'La4 Au24'
_space_group_name_H-M_alt 'C 1 2/c 1'
_space_group_IT_number 15
_cell_length_a 7.895
_cell_length_b 7.877
_cell_length_c 9.218
_cell_angle_alpha 90.00
_cell_angle_beta 100.33
_cell_angle_gamma 90.00
loop_
_space_group_symop_operation_xyz
'x,y,z'
'-x,-y,-z'
'-x,y,-z+1/2'
'x,-y,z+1/2'
'x+1/2,y+1/2,z'
'-x+1/2,-y+1/2,-z'
'-x+1/2,y+1/2,-z+1/2'
'x+1/2,-y+1/2,z+1/2'
loop_
_atom_site_label
_atom_site_type_symbol
_atom_site_fract_x
_atom_site_fract_y
_atom_site_fract_z
_atom_site_occupancy
La1 La 0.000 0.186 0.250 1
Au1 Au 0.099 0.443 0.636 1
Au2 Au 0.147 0.188 0.873 1
Au3 Au 0.197 0.082 0.581 1
```

Principal peaks in the range 5 to 70 degrees two-theta, in order of falling intensity:
- d = 2.364 Å, I 100.0, hkl 1 3 1
- d = 2.335 Å, I 91.1, hkl 3 1 -2
- d = 2.507 Å, I 77.2, hkl 2 2 -2
- d = 2.237 Å, I 74.2, hkl 2 2 2
- d = 2.486 Å, I 69.4, hkl 1 3 0
- d = 2.184 Å, I 56.9, hkl 2 2 -3
- d = 2.520 Å, I 56.7, hkl 1 1 3
- d = 1.394 Å, I 51.2, hkl 4 4 -1


Entry 9:
# La2NdMg2Si4Au2
Computed powder X-ray diffraction pattern, a wavelength of 1.5418 Å. Input: a GGA-PBE-relaxed structure.
Lines closer than 0.1° are merged.

```
data_La2NdMg2Si4Au2
_chemical_formula_sum 'La4 Nd2 Mg4 Si8 Au4'
_space_group_name_H-M_alt 'I m m m'
_space_group_IT_number 71
_space_group_name_Hall '-I 2 2'
_cell_length_a 4.309
_cell_length_b 4.355
_cell_length_c 26.198
_cell_angle_alpha 90.00
_cell_angle_beta 90.00
_cell_angle_gamma 90.00
loop_
_atom_site_label
_atom_site_type_symbol
_atom_site_fract_x
_atom_site_fract_y
_atom_site_fract_z
_atom_site_occupancy
La1 La 0.000 0.000 0.140 1
Nd1 Nd 0.000 0.500 0.000 1
Mg1 Mg 0.000 0.500 0.250 1
Si1 Si 0.000 0.000 0.314 1
Si2 Si 0.000 0.500 0.455 1
Au1 Au 0.000 0.000 0.410 1
```

Principal peaks in the range 5 to 70 degrees two-theta, in order of falling intensity:
- d = 2.775 Å, I 100.0, hkl 1 1 4
- d = 13.099 Å, I 68.6, hkl 0 0 2
- d = 2.826 Å, I 51.5, hkl 1 0 7
- d = 2.090 Å, I 34.9, hkl 0 1 11
- d = 6.550 Å, I 29.0, hkl 0 0 4
- d = 3.063 Å, I 27.0, hkl 1 1 0
- d = 1.500 Å, I 24.3, hkl 2 1 11
- d = 1.725 Å, I 24.0, hkl 1 2 7